1.
Diffraction record for AcNd5Sm7. The powder X-ray diffraction pattern is calculated, not measured: it uses a structure optimized by DFT (PBE) and Cu Kα (weighted mean of Kα1 and Kα2).
Lines closer than 0.1° are merged.

Cell and atoms:
a b c (Å): 6.813 11.516 11.947
angles (deg): 90.00 90.00 90.00
Space group Imm2 (No. 44)
Inequivalent atoms, fractional coordinates:
Ac (0.000, 0.000, 0.000) [2 per cell]
Nd (0.000, 0.500, 0.270) [2 per cell]
Nd (0.236, 0.235, 0.794) [8 per cell]
Sm (0.000, 0.000, 0.318) [2 per cell]
Sm (0.000, 0.000, 0.607) [2 per cell]
Sm (0.000, 0.324, 0.537) [4 per cell]
Sm (0.000, 0.337, 0.034) [4 per cell]
Sm (0.000, 0.500, 0.768) [2 per cell]

Top 10 peaks for 10 to 90 degrees two-theta, sorted by position:
(1 3 0), 2θ = 26.65°, I 41
(0 0 4), 2θ = 29.92°, I 64
(2 0 2), 2θ = 30.23°, I 75
(2 2 0), 2θ = 30.49°, I 51
(1 3 2), 2θ = 30.64°, I 100
(0 4 0), 2θ = 31.06°, I 26
(2 2 2), 2θ = 34.07°, I 69
(0 4 2), 2θ = 34.59°, I 28
(2 6 0), 2θ = 54.91°, I 31
(2 2 6), 2θ = 55.81°, I 26

2.
Diffraction record for Ti2Zn2Ir. The powder X-ray diffraction pattern is calculated, not measured: it uses a structure optimized by DFT (PBE) and Cu Kα (weighted mean of Kα1 and Kα2).
Lines closer than 0.1° are merged.

Cell and atoms:
a b c (Å): 4.044 13.117 2.866
angles (deg): 90.00 90.00 90.00
Space group Cmmm (No. 65)
Inequivalent atoms, fractional coordinates:
Ti (0.000, 0.100, 0.000) [4 per cell]
Zn (0.000, 0.300, 0.500) [4 per cell]
Ir (0.000, 0.500, 0.500) [2 per cell]

Top 10 peaks for 10 to 90 degrees two-theta, sorted by position:
(0 2 0), 2θ = 13.50°, I 36
(1 1 0), 2θ = 23.02°, I 48
(0 0 1), 2θ = 31.21°, I 27
(1 1 1), 2θ = 39.13°, I 100
(1 5 0), 2θ = 41.01°, I 83
(0 4 1), 2θ = 41.86°, I 41
(2 0 0), 2θ = 44.83°, I 32
(1 5 1), 2θ = 52.42°, I 26
(2 4 1), 2θ = 63.00°, I 24
(1 5 2), 2θ = 79.88°, I 22

3.
Diffraction record for AcPa2Se7. The powder X-ray diffraction pattern is calculated, not measured: it uses a structure optimized by DFT (PBE) and Cu Kα (weighted mean of Kα1 and Kα2).
Lines closer than 0.1° are merged.

Cell and atoms:
a b c (Å): 8.615 13.446 5.312
angles (deg): 90.00 90.00 90.00
Space group Cmmm (No. 65)
Inequivalent atoms, fractional coordinates:
Ac (0.000, 0.000, 0.000) [2 per cell]
Pa (0.000, 0.295, 0.500) [4 per cell]
Se (0.000, 0.257, 0.000) [4 per cell]
Se (0.000, 0.500, 0.500) [2 per cell]
Se (0.190, 0.120, 0.500) [8 per cell]

Top 10 peaks for 10 to 90 degrees two-theta, sorted by position:
(0 0 1), 2θ = 16.69°, I 41
(2 0 0), 2θ = 20.62°, I 51
(1 1 1), 2θ = 20.73°, I 49
(1 3 0), 2θ = 22.36°, I 33
(2 2 1), 2θ = 29.83°, I 25
(0 0 2), 2θ = 33.79°, I 100
(3 1 1), 2θ = 36.18°, I 43
(3 3 0), 2θ = 37.18°, I 24
(1 5 1), 2θ = 38.97°, I 58
(2 4 2), 2θ = 48.54°, I 47

4.
Diffraction record for NdTlAuS2. The powder X-ray diffraction pattern is calculated, not measured: it uses a structure optimized by DFT (PBE) and Cu Kα (weighted mean of Kα1 and Kα2).
Lines closer than 0.1° are merged.

Cell and atoms:
a b c (Å): 6.433 5.621 7.986
angles (deg): 90.00 104.52 90.00
Space group P2/c (No. 13)
Inequivalent atoms, fractional coordinates:
Nd (0.000, 0.002, 0.250) [2 per cell]
Tl (0.500, 0.323, 0.250) [2 per cell]
Au (0.000, 0.500, 0.000) [2 per cell]
S (0.261, 0.191, 0.554) [4 per cell]

Top 10 peaks for 10 to 90 degrees two-theta, sorted by position:
(0 1 1), 2θ = 19.53°, I 22
(1 0 -2), 2θ = 23.86°, I 23
(1 1 1), 2θ = 25.91°, I 25
(0 1 2), 2θ = 28.02°, I 21
(2 0 0), 2θ = 28.70°, I 100
(1 1 2), 2θ = 34.17°, I 45
(1 2 0), 2θ = 35.03°, I 45
(0 0 4), 2θ = 47.04°, I 34
(0 3 2), 2θ = 54.42°, I 20
(4 0 0), 2θ = 59.39°, I 19

5.
Diffraction record for Ba2Si3Ni. The powder X-ray diffraction pattern is calculated, not measured: it uses a structure optimized by DFT (PBE) and Cu Kα (weighted mean of Kα1 and Kα2).
Lines closer than 0.1° are merged.

Cell and atoms:
a b c (Å): 11.4499 11.4499 3.9232
angles (deg): 90.00 90.00 120.00
Space group P-62m (No. 189)
Inequivalent atoms, fractional coordinates:
Ba (0.0000, 0.2876, 0.0000) [3 per cell]
Ba (0.0000, 0.6190, 0.0000) [3 per cell]
Si (0.0000, 0.8764, 0.5000) [3 per cell]
Si (0.2195, 0.5369, 0.5000) [6 per cell]
Ni (0.0000, 0.0000, 0.0000) [1 per cell]
Ni (0.3333, 0.6667, 0.0000) [2 per cell]

Top 10 peaks for 10 to 90 degrees two-theta, sorted by position:
(0 0 1), 2θ = 22.66°, I 40
(2 1 0), 2θ = 23.74°, I 29
(3 0 0), 2θ = 26.98°, I 88
(1 1 1), 2θ = 27.56°, I 25
(3 1 0), 2θ = 32.56°, I 26
(2 1 1), 2θ = 33.05°, I 50
(3 0 1), 2θ = 35.51°, I 100
(4 2 1), 2θ = 54.25°, I 32
(3 0 2), 2θ = 54.39°, I 24
(5 1 1), 2θ = 56.77°, I 20

6.
Diffraction record for SnP4N7. The powder X-ray diffraction pattern is calculated, not measured: it uses a structure optimized by DFT (PBE) and Cu Kα (weighted mean of Kα1 and Kα2).
Lines closer than 0.1° are merged.

Cell and atoms:
a b c (Å): 12.365 5.077 4.706
angles (deg): 90.00 90.00 90.00
Space group Pmn2_1 (No. 31)
Inequivalent atoms, fractional coordinates:
Sn (0.000, 0.133, 0.000) [2 per cell]
P (0.119, 0.675, 0.536) [4 per cell]
P (0.244, 0.823, 0.015) [4 per cell]
N (0.000, 0.711, 0.416) [2 per cell]
N (0.127, 0.783, 0.862) [4 per cell]
N (0.167, 0.390, 0.475) [4 per cell]
N (0.209, 0.891, 0.361) [4 per cell]

Top 10 peaks for 10 to 90 degrees two-theta, sorted by position:
(0 1 0), 2θ = 17.47°, I 23
(1 1 1), 2θ = 26.82°, I 66
(3 1 0), 2θ = 27.88°, I 40
(3 0 1), 2θ = 28.81°, I 69
(2 1 1), 2θ = 29.65°, I 100
(4 1 0), 2θ = 33.94°, I 36
(1 2 0), 2θ = 36.12°, I 20
(0 0 2), 2θ = 38.25°, I 33
(2 2 1), 2θ = 43.04°, I 31
(6 2 1), 2θ = 61.19°, I 18